The following is a computed PXRD pattern of Mg2Ta2Mn2O9. It was derived from DFT lattice parameters and positions (GGA+U), using Cu Kα (weighted mean of Kα1 and Kα2).
Lines closer than 0.1° are merged.

Crystal structure
```
data_Mg2Ta2Mn2O9
_chemical_formula_sum 'Mg4 Ta4 Mn4 O18'
_cell_length_a 5.2895
_cell_length_b 5.2895
_cell_length_c 14.4549
_cell_angle_alpha 90.00
_cell_angle_beta 90.00
_cell_angle_gamma 120.00
_symmetry_space_group_name_H-M 'P -3 c 1'
_symmetry_Int_Tables_number 165
_symmetry_space_group_name_Hall '-P 3 2"c'
loop_
_atom_site_label
_atom_site_fract_x
_atom_site_fract_y
_atom_site_fract_z
Mg1 0.3333 0.6667 0.3091
Ta1 0.0000 0.0000 0.1458
Mn1 0.3333 0.6667 0.0209
O1 0.0000 0.2874 0.2500
O2 0.0362 0.3434 0.9118
```

Principal peaks in the range 2θ from 5° to 70°, low angle first:
2θ (°), I/Imax
19.38, 100
31.53, 99
33.89, 63
46.97, 37
51.30, 34
59.17, 36